Record 1
NbInSnO6: calculated PXRD pattern (λ = 1.5418 Å (Cu Kα)), based on a structure optimized by DFT (GGA-PBE).

a b c (Å): 5.347 5.347 9.315
angles (deg): 90.00 90.00 120.00
Element x y z (fractional)
1 Nb 0.333 0.667 0.250
2 Nb 0.667 0.333 0.750
3 In 0.000 0.000 0.000
4 In 0.000 0.000 0.500
5 Sn 0.333 0.667 0.750
6 Sn 0.667 0.333 0.250
7 O 0.010 0.353 0.133
8 O 0.010 0.657 0.367
9 O 0.343 0.353 0.367
10 O 0.343 0.990 0.133
11 O 0.353 0.010 0.633
12 O 0.353 0.343 0.867
13 O 0.647 0.657 0.133
14 O 0.647 0.990 0.367
15 O 0.657 0.010 0.867
16 O 0.657 0.647 0.633
17 O 0.990 0.343 0.633
18 O 0.990 0.647 0.867

Main lines, sorted by position (15° ≤ 2θ ≤ 90°):
- 2θ 19.05, I = 9
- 2θ 27.15, I = 100
- 2θ 33.52, I = 46
- 2θ 38.84, I = 12
- 2θ 43.66, I = 27
- 2θ 52.08, I = 45
- 2θ 56.14, I = 26
- 2θ 59.92, I = 18
- 2θ 77.02, I = 10
- 2θ 83.36, I = 11


Record 2
NbInTe2O8: calculated PXRD pattern (λ = 1.5418 Å (Cu Kα)), based on a structure optimized by DFT (GGA-PBE).

a b c (Å): 7.800 11.011 7.792
angles (deg): 90.00 90.00 90.00
Element x y z (fractional)
1 Nb 0.032 0.001 0.000
2 Nb 0.468 0.001 0.500
3 Nb 0.532 0.999 0.000
4 Nb 0.968 0.999 0.500
5 In 0.002 0.513 0.489
6 In 0.498 0.513 0.989
7 In 0.502 0.487 0.489
8 In 0.998 0.487 0.989
9 Te 0.204 0.246 0.346
10 Te 0.233 0.714 0.253
11 Te 0.267 0.714 0.753
12 Te 0.296 0.246 0.846
13 Te 0.704 0.754 0.346
14 Te 0.733 0.286 0.253
15 Te 0.767 0.286 0.753
16 Te 0.796 0.754 0.846
17 O 0.023 0.041 0.237
18 O 0.053 0.630 0.798
19 O 0.067 0.586 0.220
20 O 0.072 0.175 0.526
21 O 0.084 0.170 0.921
22 O 0.182 0.663 0.505
23 O 0.244 0.946 0.487
24 O 0.250 0.395 0.475
25 O 0.250 0.395 0.975
26 O 0.256 0.946 0.987
27 O 0.318 0.663 0.005
28 O 0.416 0.170 0.421
29 O 0.428 0.175 0.026
30 O 0.433 0.586 0.720
31 O 0.447 0.630 0.298
32 O 0.477 0.041 0.737
33 O 0.523 0.959 0.237
34 O 0.553 0.370 0.798
35 O 0.567 0.414 0.220
36 O 0.572 0.825 0.526
37 O 0.584 0.830 0.921
38 O 0.682 0.337 0.505
39 O 0.744 0.054 0.487
40 O 0.750 0.605 0.475
41 O 0.750 0.605 0.975
42 O 0.756 0.054 0.987
43 O 0.818 0.337 0.005
44 O 0.916 0.830 0.421
45 O 0.928 0.825 0.026
46 O 0.933 0.414 0.720
47 O 0.947 0.370 0.298
48 O 0.977 0.959 0.737

Main lines, sorted by position (15° ≤ 2θ ≤ 90°):
- 2θ 22.82, I = 9
- 2θ 26.83, I = 17
- 2θ 28.05, I = 100
- 2θ 30.34, I = 8
- 2θ 32.50, I = 36
- 2θ 33.53, I = 6
- 2θ 46.62, I = 29
- 2θ 48.89, I = 11
- 2θ 55.29, I = 25
- 2θ 64.99, I = 6


Record 3
Nb12In3Os: calculated PXRD pattern (λ = 1.5418 Å (Cu Kα)), based on a structure optimized by DFT (GGA-PBE).

a b c (Å): 5.287 5.291 10.601
angles (deg): 90.00 90.00 90.00
Element x y z (fractional)
1 Nb 0.000 0.000 0.118
2 Nb 0.000 0.000 0.371
3 Nb 0.000 0.000 0.629
4 Nb 0.000 0.000 0.882
5 Nb 0.246 0.500 0.500
6 Nb 0.257 0.500 0.000
7 Nb 0.500 0.243 0.240
8 Nb 0.500 0.243 0.760
9 Nb 0.500 0.757 0.240
10 Nb 0.500 0.757 0.760
11 Nb 0.743 0.500 0.000
12 Nb 0.754 0.500 0.500
13 In 0.000 0.500 0.250
14 In 0.000 0.500 0.750
15 In 0.500 0.000 0.500
16 Os 0.500 0.000 0.000

Main lines, sorted by position (15° ≤ 2θ ≤ 90°):
- 2θ 33.87, I = 45
- 2θ 38.02, I = 91
- 2θ 41.80, I = 100
- 2θ 63.33, I = 13
- 2θ 66.04, I = 42
- 2θ 66.10, I = 8
- 2θ 71.33, I = 11
- 2θ 81.33, I = 7
- 2θ 83.79, I = 11
- 2θ 86.18, I = 12


Record 4
Nb12In3Pb: calculated PXRD pattern (λ = 1.5418 Å (Cu Kα)), based on a structure optimized by DFT (GGA-PBE).

a b c (Å): 5.355 5.356 10.648
angles (deg): 90.00 90.00 90.00
Element x y z (fractional)
1 Nb 0.000 0.000 0.124
2 Nb 0.000 0.000 0.373
3 Nb 0.000 0.000 0.627
4 Nb 0.000 0.000 0.876
5 Nb 0.252 0.500 0.247
6 Nb 0.252 0.500 0.753
7 Nb 0.500 0.247 0.500
8 Nb 0.500 0.254 0.000
9 Nb 0.500 0.746 0.000
10 Nb 0.500 0.753 0.500
11 Nb 0.748 0.500 0.247
12 Nb 0.748 0.500 0.753
13 In 0.000 0.500 0.000
14 In 0.500 0.000 0.250
15 In 0.500 0.000 0.750
16 Pb 0.000 0.500 0.500

Main lines, sorted by position (15° ≤ 2θ ≤ 90°):
- 2θ 33.47, I = 45
- 2θ 33.67, I = 22
- 2θ 37.58, I = 87
- 2θ 37.74, I = 43
- 2θ 41.34, I = 100
- 2θ 41.46, I = 48
- 2θ 65.26, I = 50
- 2θ 65.46, I = 25
- 2θ 70.31, I = 16
- 2θ 82.62, I = 17


Record 5
Nb2In2PdSe6: calculated PXRD pattern (λ = 1.5418 Å (Cu Kα)), based on a structure optimized by DFT (GGA-PBE).

a b c (Å): 6.589 6.589 7.654
angles (deg): 96.84 96.84 122.44
Element x y z (fractional)
1 Nb 0.136 0.864 0.000
2 Nb 0.864 0.136 0.000
3 In 0.317 0.683 0.500
4 In 0.683 0.317 0.500
5 Pd 0.500 0.500 0.000
6 Se 0.092 0.457 0.805
7 Se 0.244 0.244 0.228
8 Se 0.457 0.092 0.805
9 Se 0.543 0.908 0.195
10 Se 0.756 0.756 0.772
11 Se 0.908 0.543 0.195

Main lines, sorted by position (15° ≤ 2θ ≤ 90°):
- 2θ 18.02, I = 10
- 2θ 19.48, I = 14
- 2θ 31.37, I = 100
- 2θ 32.93, I = 51
- 2θ 41.77, I = 10
- 2θ 42.60, I = 19
- 2θ 42.91, I = 37
- 2θ 47.21, I = 12
- 2θ 49.16, I = 41
- 2θ 58.76, I = 12


Record 6
NbVInRh: calculated PXRD pattern (λ = 1.5418 Å (Cu Kα)), based on a structure optimized by DFT (GGA-PBE).

a b c (Å): 4.555 4.555 4.555
angles (deg): 60.00 60.00 60.00
Element x y z (fractional)
1 Nb 0.000 0.000 0.000
2 V 0.250 0.250 0.250
3 In 0.500 0.500 0.500
4 Rh 0.750 0.750 0.750

Main lines, sorted by position (15° ≤ 2θ ≤ 90°):
- 2θ 23.93, I = 6
- 2θ 27.70, I = 3
- 2θ 39.57, I = 100
- 2θ 46.77, I = 3
- 2θ 57.20, I = 16
- 2θ 62.89, I = 1
- 2θ 64.72, I = 1
- 2θ 71.79, I = 32
- 2θ 76.90, I = 1
- 2θ 85.22, I = 10


Record 7
Nb6InS12: calculated PXRD pattern (λ = 1.5418 Å (Cu Kα)), based on a structure optimized by DFT (GGA-PBE).

a b c (Å): 7.531 7.531 7.531
angles (deg): 104.12 104.12 104.12
Element x y z (fractional)
1 Nb 0.246 0.246 0.636
2 Nb 0.246 0.636 0.246
3 Nb 0.364 0.754 0.754
4 Nb 0.636 0.246 0.246
5 Nb 0.754 0.364 0.754
6 Nb 0.754 0.754 0.364
7 In 0.000 0.000 0.000
8 S 0.126 0.500 0.874
9 S 0.126 0.874 0.500
10 S 0.176 0.457 0.457
11 S 0.457 0.176 0.457
12 S 0.457 0.457 0.176
13 S 0.500 0.126 0.874
14 S 0.500 0.874 0.126
15 S 0.543 0.543 0.824
16 S 0.543 0.824 0.543
17 S 0.824 0.543 0.543
18 S 0.874 0.126 0.500
19 S 0.874 0.500 0.126

Main lines, sorted by position (15° ≤ 2θ ≤ 90°):
- 2θ 24.81, I = 100
- 2θ 28.69, I = 16
- 2θ 29.91, I = 38
- 2θ 39.10, I = 24
- 2θ 39.38, I = 23
- 2θ 42.06, I = 14
- 2θ 45.13, I = 20
- 2θ 45.83, I = 29
- 2θ 48.35, I = 30
- 2θ 68.84, I = 13


Record 8
Nb12In3Sb: calculated PXRD pattern (λ = 1.5418 Å (Cu Kα)), based on a structure optimized by DFT (GGA-PBE).

a b c (Å): 5.332 5.338 10.626
angles (deg): 90.00 90.00 90.00
Element x y z (fractional)
1 Nb 0.000 0.000 0.123
2 Nb 0.000 0.000 0.375
3 Nb 0.000 0.000 0.625
4 Nb 0.000 0.000 0.877
5 Nb 0.250 0.500 0.251
6 Nb 0.250 0.500 0.749
7 Nb 0.500 0.252 0.500
8 Nb 0.500 0.253 0.000
9 Nb 0.500 0.747 0.000
10 Nb 0.500 0.748 0.500
11 Nb 0.750 0.500 0.251
12 Nb 0.750 0.500 0.749
13 In 0.000 0.500 0.000
14 In 0.500 0.000 0.250
15 In 0.500 0.000 0.750
16 Sb 0.000 0.500 0.500

Main lines, sorted by position (15° ≤ 2θ ≤ 90°):
- 2θ 33.60, I = 43
- 2θ 33.74, I = 21
- 2θ 37.72, I = 100
- 2θ 37.83, I = 50
- 2θ 41.49, I = 96
- 2θ 41.58, I = 47
- 2θ 62.82, I = 16
- 2θ 65.50, I = 36
- 2θ 65.63, I = 35
- 2θ 70.62, I = 17


Record 9
Sc6NbIn5: calculated PXRD pattern (λ = 1.5418 Å (Cu Kα)), based on a structure optimized by DFT (GGA-PBE).

a b c (Å): 7.928 7.928 7.040
angles (deg): 90.00 90.00 143.15
Element x y z (fractional)
1 Sc 0.000 0.000 0.244
2 Sc 0.000 0.000 0.756
3 Sc 0.337 0.663 0.239
4 Sc 0.337 0.663 0.761
5 Sc 0.663 0.337 0.239
6 Sc 0.663 0.337 0.761
7 Nb 0.500 0.500 0.000
8 In 0.158 0.842 0.000
9 In 0.170 0.830 0.500
10 In 0.500 0.500 0.500
11 In 0.830 0.170 0.500
12 In 0.842 0.158 0.000

Main lines, sorted by position (15° ≤ 2θ ≤ 90°):
- 2θ 25.12, I = 23
- 2θ 25.30, I = 12
- 2θ 35.83, I = 50
- 2θ 35.96, I = 100
- 2θ 44.37, I = 11
- 2θ 51.57, I = 17
- 2θ 64.47, I = 32
- 2θ 64.72, I = 16
- 2θ 76.24, I = 10
- 2θ 86.95, I = 14


Record 10
Nb2InSe4: calculated PXRD pattern (λ = 1.5418 Å (Cu Kα)), based on a structure optimized by DFT (GGA-PBE).

a b c (Å): 6.071 3.509 8.514
angles (deg): 90.00 102.12 90.00
Element x y z (fractional)
1 Nb 0.000 0.000 0.000
2 Nb 0.500 0.500 0.000
3 In 0.000 0.500 0.500
4 Se 0.227 0.500 0.202
5 Se 0.274 0.000 0.797
6 Se 0.726 0.000 0.203
7 Se 0.773 0.500 0.798

Main lines, sorted by position (15° ≤ 2θ ≤ 90°):
- 2θ 16.42, I = 10
- 2θ 32.60, I = 100
- 2θ 33.19, I = 49
- 2θ 38.65, I = 16
- 2θ 40.88, I = 19
- 2θ 41.79, I = 40
- 2θ 43.49, I = 11
- 2θ 52.17, I = 41
- 2θ 63.22, I = 15
- 2θ 68.31, I = 10


Record 11
Nb4InSe8: calculated PXRD pattern (λ = 1.5418 Å (Cu Kα)), based on a structure optimized by DFT (GGA-PBE).

a b c (Å): 7.559 7.559 7.559
angles (deg): 60.00 60.00 60.00
Element x y z (fractional)
1 Nb 0.102 0.102 0.102
2 Nb 0.102 0.102 0.693
3 Nb 0.102 0.693 0.102
4 Nb 0.693 0.102 0.102
5 In 0.500 0.500 0.500
6 Se 0.360 0.360 0.360
7 Se 0.360 0.360 0.921
8 Se 0.360 0.921 0.360
9 Se 0.399 0.867 0.867
10 Se 0.867 0.399 0.867
11 Se 0.867 0.867 0.399
12 Se 0.867 0.867 0.867
13 Se 0.921 0.360 0.360

Main lines, sorted by position (15° ≤ 2θ ≤ 90°):
- 2θ 23.54, I = 20
- 2θ 27.68, I = 56
- 2θ 28.93, I = 27
- 2θ 33.53, I = 100
- 2θ 41.38, I = 48
- 2θ 44.01, I = 53
- 2θ 48.15, I = 100
- 2θ 65.32, I = 23
- 2θ 75.46, I = 31
- 2θ 89.91, I = 19


Record 12
Nb6InSe8: calculated PXRD pattern (λ = 1.5418 Å (Cu Kα)), based on a structure optimized by DFT (GGA-PBE).

a b c (Å): 10.181 10.181 3.488
angles (deg): 90.00 90.00 120.00
Element x y z (fractional)
1 Nb 0.049 0.822 0.000
2 Nb 0.153 0.440 0.500
3 Nb 0.178 0.227 0.000
4 Nb 0.286 0.847 0.500
5 Nb 0.560 0.714 0.500
6 Nb 0.773 0.951 0.000
7 In 0.667 0.333 0.500
8 Se 0.000 0.000 0.500
9 Se 0.008 0.614 0.500
10 Se 0.327 0.055 0.000
11 Se 0.333 0.667 0.000
12 Se 0.386 0.394 0.500
13 Se 0.606 0.992 0.500
14 Se 0.727 0.673 0.000
15 Se 0.945 0.273 0.000

Main lines, sorted by position (15° ≤ 2θ ≤ 90°):
- 2θ 27.50, I = 19
- 2θ 30.42, I = 32
- 2θ 32.74, I = 39
- 2θ 36.75, I = 60
- 2θ 37.32, I = 100
- 2θ 44.05, I = 38
- 2θ 47.24, I = 26
- 2θ 52.48, I = 20
- 2θ 65.78, I = 21
- 2θ 81.20, I = 28